Computed PXRD pattern
Compound: LiV4O8
Radiation: Cu Kα
Structure: a DFT-relaxed cell (PBE+U, Alexandria)
Peak positions follow from Bragg's law for the DFT cell and can differ from measured ones.

Crystal structure
Lattice parameters (Å, degrees): 12.755 3.819 6.418 90.00 107.23 90.00
Space group C2/m (No. 12)
One atom of each set of equivalent atoms:
1 Li 0.000 0.000 0.000 [2 per cell]
2 V 0.102 0.000 0.676 [4 per cell]
3 V 0.206 0.000 0.290 [4 per cell]
4 O 0.053 0.000 0.344 [4 per cell]
5 O 0.135 0.500 0.694 [4 per cell]
6 O 0.147 0.000 0.010 [4 per cell]
7 O 0.241 0.500 0.360 [4 per cell]

Principal peaks in the range 15° ≤ 2θ ≤ 90°, sorted by position:
- 2θ = 24.4°, rel. 100, (1 1 0)
- 2θ = 28.6°, rel. 23, (4 0 -1)
- 2θ = 29.1°, rel. 37, (0 0 2)
- 2θ = 42.6°, rel. 45, (6 0 -1)
- 2θ = 44.3°, rel. 38, (0 0 3)
- 2θ = 47.6°, rel. 39, (0 2 0)
- 2θ = 53.3°, rel. 28, (1 1 3)
- 2θ = 55.9°, rel. 23, (7 1 -1)